For VTc3O8, the PBE+U geometry in Alexandria gives the calculated powder X-ray diffraction pattern in this record (Cu Ka).
Lines closer than 0.1° are merged.

Most intense lines, 2θ = 5–70°, by angle:
Position (°2θ)  I (rel.)
14.25  48
14.75  25
23.66  100
28.72  49
28.91  31
31.78  25
32.04  34
37.73  21
43.16  28
43.69  24
45.83  32
56.22  22

Structure:
```
VTc3O8
1.0
6.290 -1.980 0.000
6.290 1.980 0.000
-1.935 0.000 6.216
V Tc O
1 3 8
direct
0.000 0.000 0.000
0.101 0.101 0.587
0.306 0.306 0.991
0.403 0.403 0.581
0.060 0.060 0.280
0.144 0.144 0.916
0.260 0.260 0.644
0.347 0.347 0.286
0.463 0.463 0.933
0.568 0.568 0.588
0.837 0.837 0.975
0.941 0.941 0.635
```